Diffraction record for LaPuCd17. The X-ray powder pattern is theoretical, not measured: it uses a PBE-relaxed structure and Cu Kα (λ = 1.5418 Å).

Top 12 peaks for 2θ = 10–90°, in order of falling intensity:
d/Å	I (rel.)
2.528	100
2.485	26
2.261	25
2.923	24
1.453	22
2.512	20
2.857	17
1.462	11
1.600	8
3.566	8
3.034	7
1.263	7

Crystal structure
a b c (Å): 10.1257 10.1257 15.0707
angles (deg): 90.00 90.00 120.00
Space group R3m (No. 160, hexagonal axes)
Unique sites:
La: 0.0000 0.0000 0.0000
Pu: 0.0000 0.0000 0.6626
Cd: 0.0000 0.0000 0.2373
Cd: 0.0000 0.0000 0.4370
Cd: 0.0019 0.3014 0.3331
Cd: 0.0090 0.5045 0.1880
Cd: 0.0192 0.5096 0.8293
Cd: 0.0401 0.5201 0.4822